For Fe2AgB2O6, a structure optimized by DFT (GGA+U) gives the simulated powder diffraction line list in this record (Cu Kα (λ = 1.5418 Å)).

Cell: 5.2587 5.3929 5.8159 Å, 106.84 110.03 94.52°
Space group P-1 (No. 2)
Asymmetric unit:
1 Fe 0.1574 0.2672 0.0401 (multiplicity 2)
2 Ag 0.5000 0.0000 0.5000 (multiplicity 1)
3 B 0.2498 0.7477 0.8086 (multiplicity 2)
4 O 0.0588 0.9135 0.7688 (multiplicity 2)
5 O 0.1991 0.5849 0.9395 (multiplicity 2)
6 O 0.4698 0.7546 0.7336 (multiplicity 2)

Peak list (10 most intense, 15° ≤ 2θ ≤ 90°, in order of rising 2θ)
| two_theta | d [Å] | I_rel |
| --- | --- | --- |
| 17.53 | 5.060 | 46.6 |
| 19.79 | 4.485 | 100.0 |
| 27.91 | 3.197 | 35.6 |
| 28.02 | 3.185 | 43.6 |
| 28.63 | 3.118 | 92.3 |
| 29.37 | 3.041 | 42.0 |
| 29.79 | 2.999 | 59.6 |
| 32.99 | 2.715 | 36.1 |
| 37.88 | 2.375 | 45.0 |
| 42.09 | 2.147 | 36.4 |